For Tm2TlAg, a DFT-relaxed cell (PBE, the Materials Project) gives the computed X-ray powder pattern in this record (CuKα).

Top 10 peaks for 15 to 90 degrees two-theta, by angle:
- 2θ = 20.90°, I 3.9, (1 1 1)
- 2θ = 34.47°, I 100.0, (2 2 0)
- 2θ = 40.66°, I 2.3, (3 1 1)
- 2θ = 49.54°, I 18.0, (4 0 0)
- 2θ = 54.33°, I 1.1, (3 3 1)
- 2θ = 61.75°, I 37.1, (4 2 2)
- 2θ = 65.95°, I 0.9, (5 1 1)
- 2θ = 72.67°, I 11.5, (4 4 0)
- 2θ = 76.58°, I 0.9, (5 3 1)
- 2θ = 82.97°, I 16.3, (6 2 0)

Crystal structure
```
Tm2TlAg
1.0
7.3601 0.0000 0.0000
0.0000 7.3601 0.0000
0.0000 0.0000 7.3601
Tm Tl Ag
8 4 4
Cartesian
1.8400 1.8400 1.8400
1.8400 1.8400 5.5201
1.8400 5.5201 1.8400
1.8400 5.5201 5.5201
5.5201 1.8400 1.8400
5.5201 1.8400 5.5201
5.5201 5.5201 1.8400
5.5201 5.5201 5.5201
0.0000 0.0000 0.0000
0.0000 3.6801 3.6801
3.6801 0.0000 3.6801
3.6801 3.6801 0.0000
0.0000 0.0000 3.6801
0.0000 3.6801 0.0000
3.6801 0.0000 0.0000
3.6801 3.6801 3.6801
```